(1)
Diffraction record for Ni8B3SbO15. The powder diffraction line list is theoretical, not measured: it uses the GGA+U geometry in the Materials Project and Cu Kα X-rays.
No peak broadening, texture or thermal motion is included.

Structural model:
```
Ni8B3SbO15
1.0
6.213 0.000 0.000
-1.718 7.969 0.000
-0.809 -3.042 10.740
Ni B Sb O
16 6 2 30
Cartesian
0.000 0.000 0.000
-0.405 -1.521 5.370
-0.859 3.985 0.000
-0.429 1.978 2.271
1.128 -2.383 8.444
1.109 1.077 5.351
0.633 6.649 0.022
0.691 -0.387 10.739
1.053 4.674 2.294
2.702 -1.521 5.370
2.633 0.253 8.447
2.995 5.314 0.001
3.053 -1.721 10.718
2.577 3.850 5.390
2.558 7.310 2.296
4.115 2.949 8.469
-0.484 0.280 7.962
1.160 -0.649 2.829
1.015 2.929 7.960
2.671 1.998 2.781
2.526 5.576 7.911
4.170 4.647 2.778
-0.479 3.856 5.374
4.165 1.072 5.367
-0.427 1.999 0.316
-0.985 4.048 2.183
0.109 -0.049 2.175
-0.485 0.295 6.490
-0.501 2.033 4.403
-0.601 5.529 6.376
1.154 -0.647 4.261
0.580 -0.322 8.540
-0.048 3.517 8.556
1.123 -2.371 10.408
1.071 4.649 0.329
0.497 6.719 2.184
1.602 2.589 2.201
1.007 2.920 6.482
1.016 4.615 4.360
2.670 0.313 6.380
2.679 2.007 4.258
2.084 2.338 8.540
3.189 -1.791 8.556
2.615 0.279 10.411
2.563 7.298 0.332
3.734 1.410 2.184
3.106 5.249 2.201
2.532 5.575 6.479
4.287 -0.602 4.364
4.187 2.894 6.337
4.171 4.633 4.251
3.577 4.976 8.565
4.671 0.879 8.558
4.113 2.928 10.424
```

Principal peaks in the range 10° ≤ 2θ ≤ 90°, low angle first:
d_spacing  2theta  I (rel.)
5.373  16.50  78.6
4.971  17.84  39.8
2.685  33.37  74.2
2.653  33.79  39.3
2.556  35.11  100.0
2.485  36.14  50.5
2.415  37.23  29.5
2.345  38.39  46.6
2.021  44.85  52.4
1.525  60.73  25.9

***

(2)
Diffraction record for UNi7B4O16. The powder diffraction line list is theoretical, not measured: it uses the GGA+U geometry in the Materials Project and Cu Kα X-rays.
No peak broadening, texture or thermal motion is included.

Structural model:
```
UNi7B4O16
1.0
4.541 0.000 0.000
0.000 20.428 0.000
0.000 0.000 5.904
U Ni B O
2 14 8 32
Cartesian
0.000 0.000 0.000
2.270 10.214 2.952
0.002 4.824 2.952
0.000 10.214 0.000
4.539 15.605 2.952
0.012 7.569 1.485
0.012 7.569 4.418
2.258 17.784 1.466
2.258 17.784 4.437
2.270 0.000 2.952
2.272 5.390 0.000
2.269 15.038 0.000
2.282 2.645 1.466
2.282 2.645 4.437
4.528 12.859 1.485
4.528 12.859 4.418
0.189 16.482 0.000
0.304 1.790 2.952
1.966 12.004 0.000
2.081 6.267 2.952
2.459 14.161 2.952
2.575 8.424 0.000
4.236 18.638 2.952
4.351 3.947 0.000
0.919 16.241 1.174
0.919 16.241 4.730
0.930 1.037 1.738
0.930 1.037 4.166
0.953 8.792 2.952
0.993 3.095 2.952
1.123 18.675 2.952
1.128 13.794 2.952
1.142 3.580 0.000
1.147 8.461 0.000
1.277 13.309 0.000
1.317 19.006 0.000
1.341 11.251 1.214
1.341 11.251 4.690
1.352 6.027 1.778
1.352 6.027 4.125
3.189 14.402 1.778
3.189 14.402 4.125
3.200 9.177 1.214
3.200 9.177 4.690
3.223 1.423 0.000
3.263 7.119 0.000
3.393 11.968 0.000
3.399 16.848 0.000
3.412 6.634 2.952
3.418 1.753 2.952
3.547 17.333 2.952
3.587 11.637 2.952
3.611 19.392 1.738
3.611 19.392 4.166
3.622 4.187 1.174
3.622 4.187 4.730
```

Principal peaks in the range 10° ≤ 2θ ≤ 90°, low angle first:
d_spacing  2theta  I (rel.)
3.778  23.55  35.8
3.395  26.25  100.0
3.037  29.41  37.7
2.555  35.12  63.6
2.473  36.32  50.4
2.457  36.58  35.6
1.888  48.19  19.9
1.777  51.41  33.4
1.697  54.04  70.1
1.475  63.04  17.0

***

(3)
Diffraction record for VNi5B2O10. The powder diffraction line list is theoretical, not measured: it uses the GGA+U geometry in the Materials Project and Cu Kα X-rays.
No peak broadening, texture or thermal motion is included.

Structural model:
```
VNi5B2O10
1.0
3.021 0.000 0.000
0.000 9.254 0.000
0.000 0.000 12.363
V Ni B O
2 10 4 20
Cartesian
0.000 0.059 0.000
0.000 9.196 6.182
0.000 2.391 4.743
0.000 4.547 9.526
0.000 4.707 3.344
0.000 6.863 10.925
1.510 2.329 2.085
1.510 2.359 10.903
1.510 2.410 7.480
1.510 6.844 1.298
1.510 6.896 4.722
1.510 6.925 8.266
0.000 0.222 9.227
0.000 4.346 0.302
0.000 4.909 6.484
0.000 9.032 3.045
0.000 0.917 10.438
0.000 0.925 8.019
0.000 1.156 3.023
0.000 3.508 6.497
0.000 3.649 1.497
0.000 3.655 11.465
0.000 5.599 5.283
0.000 5.605 7.679
0.000 5.746 0.315
0.000 8.099 9.204
0.000 8.330 1.838
0.000 8.338 4.256
1.510 1.225 5.750
1.510 1.231 0.353
1.510 3.334 9.175
1.510 3.354 3.801
1.510 5.900 9.983
1.510 5.920 2.993
1.510 8.023 6.534
1.510 8.029 11.931
```

Principal peaks in the range 10° ≤ 2θ ≤ 90°, low angle first:
d_spacing  2theta  I (rel.)
5.140  17.25  47.9
4.627  19.18  27.6
2.570  34.91  100.0
2.529  35.49  74.3
2.356  38.20  35.3
2.038  44.46  27.2
1.912  47.56  41.6
1.579  58.45  24.3
1.510  61.38  22.7
1.504  61.65  34.4

***

(4)
Diffraction record for ZrNi5B2O10. The powder diffraction line list is theoretical, not measured: it uses the GGA+U geometry in the Materials Project and Cu Kα X-rays.
No peak broadening, texture or thermal motion is included.

Structural model:
```
ZrNi5B2O10
1.0
3.143 0.000 0.000
0.000 9.353 0.000
0.000 0.000 12.500
Zr Ni B O
2 10 4 20
Cartesian
0.000 0.104 0.000
0.000 9.249 6.250
0.000 2.491 4.740
0.000 4.555 9.596
0.000 4.798 3.347
0.000 6.862 10.990
1.572 2.455 2.118
1.572 2.491 10.997
1.572 2.510 7.544
1.572 6.843 1.294
1.572 6.862 4.747
1.572 6.898 8.368
0.000 0.227 9.298
0.000 4.412 0.300
0.000 4.941 6.550
0.000 9.126 3.049
0.000 0.928 10.508
0.000 0.966 8.105
0.000 1.148 2.999
0.000 3.534 6.557
0.000 3.717 11.595
0.000 3.729 1.506
0.000 5.624 7.756
0.000 5.636 5.346
0.000 5.819 0.307
0.000 8.206 9.249
0.000 8.387 1.855
0.000 8.425 4.258
1.572 1.247 5.755
1.572 1.398 0.365
1.572 3.350 9.258
1.572 3.370 3.848
1.572 5.983 10.098
1.572 6.003 3.008
1.572 7.955 6.615
1.572 8.106 12.005
```

Principal peaks in the range 10° ≤ 2θ ≤ 90°, low angle first:
d_spacing  2theta  I (rel.)
5.196  17.06  80.3
2.609  34.38  87.5
2.598  34.52  100.0
2.424  37.09  31.9
2.215  40.73  24.7
2.087  43.37  39.3
1.955  46.45  30.2
1.608  57.28  27.1
1.572  58.75  25.2
1.532  60.44  29.4